(1)
# MgFe5CuO8
Computed powder diffractogram, Cu Ka. Input: a DFT-relaxed cell (PBE+U, the Materials Project).
Intensities are scaled so that the largest is 1000.

Most intense lines, 2θ = 5–70°, sorted by position:
- 29.62°, rel. 427
- 33.58°, rel. 256
- 34.15°, rel. 1000
- 34.80°, rel. 453
- 41.27°, rel. 639
- 45.38°, rel. 214
- 53.23°, rel. 207
- 55.51°, rel. 230
- 58.05°, rel. 374
- 61.49°, rel. 482

Crystal structure
```
15
Lattice="3.016 1.741 5.338 -3.016 1.741 5.338 0.000 -3.482 5.338" Properties=species:S:1:pos:R:3 pbc="T T T"
Mg 0.000 0.000 0.000
Fe -1.508 -0.871 5.338
Fe 0.000 0.000 2.431
Fe -1.508 0.871 10.676
Fe 0.000 1.741 5.338
Fe 0.000 0.000 13.583
Cu 0.000 0.000 8.007
O -1.586 -0.915 9.317
O 0.000 -1.831 6.697
O -1.586 0.915 6.697
O 0.000 0.000 4.308
O 0.000 0.000 11.706
O 1.586 -0.915 9.317
O 0.000 1.831 9.317
O 1.586 0.915 6.697
```

(2)
# Sr4MgFe2Cu2S2O6
Computed powder diffractogram, Cu Ka. Input: a DFT-relaxed cell (PBE+U, the Materials Project).
Intensities are scaled so that the largest is 1000.

Most intense lines, 2θ = 5–70°, sorted by position:
- 5.42°, rel. 420
- 31.25°, rel. 627
- 31.49°, rel. 509
- 33.39°, rel. 488
- 35.44°, rel. 1000
- 38.62°, rel. 868
- 40.03°, rel. 575
- 45.13°, rel. 994
- 58.65°, rel. 430
- 65.73°, rel. 297

Crystal structure
```
17
Lattice="4.018 0.000 0.000 0.000 4.018 0.000 0.000 0.000 16.316" Properties=species:S:1:pos:R:3 pbc="T T T"
Sr 0.000 2.009 2.099
Sr 0.000 2.009 5.352
Sr 2.009 0.000 10.965
Sr 2.009 0.000 14.217
Mg 2.009 2.009 0.000
Fe 0.000 2.009 12.805
Fe 2.009 0.000 3.512
Cu 0.000 0.000 8.158
Cu 2.009 2.009 8.158
S 0.000 2.009 9.524
S 2.009 0.000 6.792
O 0.000 0.000 3.703
O 0.000 0.000 12.613
O 0.000 2.009 15.475
O 2.009 0.000 0.842
O 2.009 2.009 3.625
O 2.009 2.009 12.691
```

(3)
# MnFe4CuO8
Computed powder diffractogram, Cu Ka. Input: a DFT-relaxed cell (PBE+U, the Materials Project).
Intensities are scaled so that the largest is 1000.

Most intense lines, 2θ = 5–70°, sorted by position:
- 17.86°, rel. 100
- 29.37°, rel. 316
- 34.58°, rel. 1000
- 36.17°, rel. 86
- 42.01°, rel. 187
- 52.09°, rel. 107
- 55.51°, rel. 374
- 60.92°, rel. 450
- 64.04°, rel. 13
- 69.06°, rel. 39

Crystal structure
```
14
Lattice="0.000 4.301 4.301 4.301 0.000 4.301 4.301 4.301 0.000" Properties=species:S:1:pos:R:3 pbc="T T T"
Mn 0.000 0.000 0.000
Fe 5.377 3.225 3.225
Fe 3.225 5.377 3.225
Fe 3.225 3.225 5.377
Fe 5.377 5.377 5.377
Cu 2.151 2.151 2.151
O 3.317 3.317 3.317
O 5.286 5.286 3.317
O 5.286 3.317 5.286
O 7.412 5.491 5.491
O 3.317 5.286 5.286
O 5.491 7.412 5.491
O 5.491 5.491 7.412
O 7.412 7.412 7.412
```

(4)
# NaV3Fe2CuO12
Computed powder diffractogram, Cu Ka. Input: a DFT-relaxed cell (PBE+U, the Materials Project).
Intensities are scaled so that the largest is 1000.

Most intense lines, 2θ = 5–70°, sorted by position:
- 11.64°, rel. 313
- 12.22°, rel. 347
- 27.05°, rel. 489
- 27.41°, rel. 295
- 27.73°, rel. 933
- 28.14°, rel. 397
- 28.62°, rel. 1000
- 30.87°, rel. 265
- 54.29°, rel. 204
- 54.59°, rel. 283

Crystal structure
```
38
Lattice="6.745 0.000 0.000 -1.746 8.154 0.000 -2.375 -3.499 9.001" Properties=species:S:1:pos:R:3 pbc="T T T"
Na 0.000 0.000 0.000
Na 3.169 0.020 0.492
V -2.465 4.120 6.100
V -0.430 6.010 2.616
V 1.257 2.777 1.976
V 0.866 1.908 7.953
V 2.546 -1.304 7.305
V 4.594 0.570 3.825
Fe -2.515 1.372 8.504
Fe 1.145 0.737 4.815
Fe 0.986 3.959 5.108
Fe 4.641 3.311 1.438
Cu -0.793 -0.705 6.798
Cu 2.912 5.399 3.111
O -1.950 5.094 2.641
O -2.723 2.792 7.201
O -0.843 0.465 5.028
O -0.123 3.615 1.177
O -0.738 -2.620 7.118
O -0.034 6.339 0.940
O -0.956 3.996 5.285
O 1.038 -0.654 3.367
O 1.466 1.339 1.182
O -0.618 0.982 8.113
O 0.964 2.414 3.688
O 0.944 5.207 3.468
O 1.168 -0.515 6.458
O 1.161 2.281 6.244
O 2.737 3.714 1.824
O 0.687 3.357 8.735
O 1.101 5.340 6.585
O 3.085 0.702 4.648
O 2.154 -1.628 8.971
O 4.574 -0.855 2.845
O 2.250 1.077 8.751
O 2.971 4.227 4.908
O 4.825 1.923 2.748
O 4.077 -0.403 7.295
```

(5)
# NbFe3Cu2P6O24
Computed powder diffractogram, Cu Ka. Input: a DFT-relaxed cell (PBE+U, the Materials Project).
Intensities are scaled so that the largest is 1000.

Most intense lines, 2θ = 5–70°, sorted by position:
- 20.48°, rel. 1000
- 24.08°, rel. 745
- 25.15°, rel. 128
- 32.72°, rel. 724
- 35.85°, rel. 385
- 46.94°, rel. 285
- 49.32°, rel. 259
- 56.09°, rel. 246
- 56.19°, rel. 134
- 62.46°, rel. 185

Crystal structure
```
36
Lattice="4.338 2.505 7.053 -4.338 2.505 7.053 0.000 -5.010 7.053" Properties=species:S:1:pos:R:3 pbc="T T T"
Nb 0.000 0.000 0.000
Fe 0.000 0.000 4.516
Fe 0.000 0.000 10.626
Fe 0.000 0.000 15.080
Cu 0.000 0.000 7.568
Cu 0.000 0.000 18.030
P -3.046 0.273 9.381
P -1.211 -2.204 12.867
P 1.287 -2.775 9.381
P -1.303 2.150 12.867
P 1.760 2.502 9.381
P 2.514 0.054 12.867
O -3.525 1.073 8.108
O -0.889 -1.219 5.926
O -2.794 -2.366 12.792
O -3.498 1.034 10.617
O 0.834 -3.589 8.108
O -1.514 0.171 9.207
O -0.611 1.380 5.926
O -0.851 -1.461 11.591
O 0.854 -3.546 10.617
O 0.608 -1.396 9.207
O 1.500 -0.161 5.926
O -0.830 -1.469 14.144
O -0.839 1.468 11.591
O -1.510 -0.146 16.491
O 0.905 1.225 9.207
O -0.857 1.453 14.144
O 1.691 -0.007 11.591
O -0.652 3.602 12.792
O 0.881 -1.235 16.491
O 2.691 2.516 8.108
O 1.687 0.015 14.144
O 3.446 -1.236 12.792
O 0.629 1.381 16.491
O 2.644 2.513 10.617
```

(6)
# Fe9Cu3O16
Computed powder diffractogram, Cu Ka. Input: a DFT-relaxed cell (PBE+U, the Materials Project).
Intensities are scaled so that the largest is 1000.

Most intense lines, 2θ = 5–70°, sorted by position:
- 18.49°, rel. 116
- 30.39°, rel. 426
- 35.74°, rel. 494
- 35.87°, rel. 1000
- 37.48°, rel. 123
- 43.63°, rel. 159
- 57.44°, rel. 157
- 57.71°, rel. 348
- 63.24°, rel. 532
- 63.54°, rel. 106

Crystal structure
```
28
Lattice="5.857 0.000 0.000 0.000 5.879 0.000 0.000 0.000 8.339" Properties=species:S:1:pos:R:3 pbc="T T T"
Fe 0.000 0.000 0.000
Fe 0.000 1.485 3.169
Fe 0.000 4.394 3.169
Fe 1.466 0.000 5.241
Fe 1.490 2.940 1.043
Fe 2.929 1.499 7.326
Fe 2.929 4.380 7.326
Fe 4.367 2.940 1.043
Fe 4.391 0.000 5.241
Cu 0.000 2.940 6.251
Cu 2.929 0.000 2.134
Cu 2.929 2.940 4.205
O 0.000 1.304 5.118
O 0.000 1.585 1.089
O 0.000 4.294 1.089
O 0.000 4.575 5.118
O 1.329 2.940 2.995
O 1.337 0.000 3.284
O 1.582 0.000 7.246
O 1.631 2.940 7.423
O 2.929 1.331 5.376
O 2.929 1.612 0.932
O 2.929 4.268 0.932
O 2.929 4.549 5.376
O 4.226 2.940 7.423
O 4.275 0.000 7.246
O 4.520 0.000 3.284
O 4.528 2.940 2.995
```